Entry 1:
The following is a theoretical powder XRD pattern of Ba2Ac10Co3. It was derived from the PBE geometry in Alexandria, using λ = 1.5418 Å (Cu Kα).
Lines closer than 0.1° are merged.

Main lines, most intense first (10 to 90 degrees two-theta):
- 28.72°, I = 100, hkl 6 2 -1
- 27.34°, I = 98, hkl 0 2 2
- 26.12°, I = 68, hkl 6 0 -3
- 43.79°, I = 48, hkl 8 2 2
- 28.94°, I = 45, hkl 2 0 3
- 27.55°, I = 44, hkl 8 0 0
- 51.70°, I = 43, hkl 2 2 5
- 45.95°, I = 26, hkl 6 2 -5
- 43.35°, I = 25, hkl 0 4 0
- 24.88°, I = 24, hkl 2 2 1
- 51.31°, I = 22, hkl 6 4 -3
- 48.60°, I = 22, hkl 12 2 -4

Crystal structure
```
data_Ba2Ac10Co3
_space_group_name_H-M_alt 'C 1 2/m 1'
_space_group_IT_number 12
_cell_length_a 27.957
_cell_length_b 8.350
_cell_length_c 11.284
_cell_angle_alpha 90.00
_cell_angle_beta 112.13
_cell_angle_gamma 90.00
loop_
_space_group_symop_operation_xyz
'x,y,z'
'-x,-y,-z'
'-x,y,-z'
'x,-y,z'
'x+1/2,y+1/2,z'
'-x+1/2,-y+1/2,-z'
'-x+1/2,y+1/2,-z'
'x+1/2,-y+1/2,z'
loop_
_atom_site_label
_atom_site_type_symbol
_atom_site_fract_x
_atom_site_fract_y
_atom_site_fract_z
Ba1 Ba 0.125 0.000 0.236
Ba2 Ba 0.231 0.000 0.818
Ac1 Ac 0.000 0.263 0.000
Ac2 Ac 0.016 0.500 0.691
Ac3 Ac 0.017 0.000 0.685
Ac4 Ac 0.110 0.256 0.546
Ac5 Ac 0.129 0.500 0.248
Ac6 Ac 0.137 0.259 0.943
Ac7 Ac 0.232 0.500 0.794
Ac8 Ac 0.250 0.250 0.500
Co1 Co 0.000 0.248 0.500
Co2 Co 0.071 0.500 0.978
Co3 Co 0.182 0.500 0.521
```



Entry 2:
The following is a theoretical powder XRD pattern of BaAc12Co5. It was derived from the PBE geometry in Alexandria, using λ = 1.5418 Å (Cu Kα).
Lines closer than 0.1° are merged.

Main lines, most intense first (10 to 90 degrees two-theta):
- 26.09°, I = 100, hkl 0 0 4
- 26.21°, I = 92, hkl 1 -1 2
- 28.24°, I = 61, hkl 1 2 -2
- 32.31°, I = 54, hkl -1 1 3
- 32.56°, I = 32, hkl 2 1 4
- 41.81°, I = 28, hkl 3 0 1
- 28.44°, I = 24, hkl 2 1 3
- 44.77°, I = 24, hkl 1 -1 6
- 24.19°, I = 24, hkl 1 -1 1
- 27.66°, I = 20, hkl 2 2 1
- 12.95°, I = 18, hkl 0 0 2
- 49.94°, I = 17, hkl -2 2 1

Crystal structure
```
data_BaAc12Co5
_space_group_name_H-M_alt 'P 1'
_space_group_IT_number 1
_cell_length_a 7.472
_cell_length_b 7.484
_cell_length_c 13.881
_cell_angle_alpha 85.00
_cell_angle_beta 80.14
_cell_angle_gamma 60.09
loop_
_space_group_symop_operation_xyz
'x,y,z'
loop_
_atom_site_label
_atom_site_type_symbol
_atom_site_fract_x
_atom_site_fract_y
_atom_site_fract_z
Ba1 Ba 0.000 0.000 0.000
Ac1 Ac 0.057 0.596 0.827
Ac2 Ac 0.141 0.328 0.572
Ac3 Ac 0.203 0.001 0.350
Ac4 Ac 0.423 0.546 0.094
Ac5 Ac 0.460 0.000 0.827
Ac6 Ac 0.469 0.672 0.572
Ac7 Ac 0.517 0.999 0.096
Ac8 Ac 0.552 0.327 0.353
Ac9 Ac 0.653 0.404 0.827
Ac10 Ac 0.813 0.000 0.574
Ac11 Ac 0.878 0.676 0.353
Ac12 Ac 0.971 0.452 0.095
Co1 Co 0.174 0.670 0.464
Co2 Co 0.348 0.332 0.959
Co3 Co 0.509 0.001 0.464
Co4 Co 0.681 0.667 0.959
Co5 Co 0.843 0.331 0.464
```



Entry 3:
The following is a theoretical powder XRD pattern of BaAcCoN2. It was derived from the PBE geometry in Alexandria, using λ = 1.5418 Å (Cu Kα).
Lines closer than 0.1° are merged.

Main lines, most intense first (10 to 90 degrees two-theta):
- 32.96°, I = 100, hkl 1 1 2
- 22.43°, I = 63, hkl 1 1 0
- 30.33°, I = 27, hkl 2 0 0
- 15.03°, I = 24, hkl 1 0 0
- 55.57°, I = 23, hkl 3 1 2
- 45.79°, I = 22, hkl 2 2 0
- 23.83°, I = 22, hkl 0 0 2
- 33.47°, I = 21, hkl 0 2 0
- 59.51°, I = 18, hkl 1 3 2
- 38.93°, I = 18, hkl 2 0 2
- 41.50°, I = 15, hkl 0 2 2
- 69.13°, I = 13, hkl 2 2 4

Crystal structure
```
data_BaAcCoN2
_space_group_name_H-M_alt 'P 1 2/c 1'
_space_group_IT_number 13
_cell_length_a 5.894
_cell_length_b 5.355
_cell_length_c 7.468
_cell_angle_alpha 90.00
_cell_angle_beta 90.06
_cell_angle_gamma 90.00
loop_
_space_group_symop_operation_xyz
'x,y,z'
'-x,-y,-z'
'-x,y,-z+1/2'
'x,-y,z+1/2'
loop_
_atom_site_label
_atom_site_type_symbol
_atom_site_fract_x
_atom_site_fract_y
_atom_site_fract_z
Ba1 Ba 0.000 0.000 0.250
Ac1 Ac 0.500 0.500 0.250
Co1 Co 0.500 0.000 0.000
N1 N 0.293 0.247 0.000
```